(1)
# Cs2Tm2MgW4O16
Computed powder diffractogram, Cu Kα (weighted mean of Kα1 and Kα2). Input: a structure optimized by DFT (PBE+U).
Kinematic intensities with the Lorentz-polarization factor, no thermal factor.

```
data_Cs2Tm2MgW4O16
_cell_length_a 7.4914
_cell_length_b 7.5402
_cell_length_c 8.0382
_cell_angle_alpha 62.92
_cell_angle_beta 86.93
_cell_angle_gamma 61.85
_symmetry_space_group_name_H-M 'P 1'
_symmetry_Int_Tables_number 1
loop_
_symmetry_equiv_pos_as_xyz
'x,y,z'
loop_
_atom_site_label
_atom_site_fract_x
_atom_site_fract_y
_atom_site_fract_z
Cs1 0.0000 0.0000 0.0000
Cs2 0.4638 0.4132 0.7261
Tm1 0.4709 0.9529 0.6587
Tm2 0.9812 0.4738 0.0621
Mg1 0.2353 0.8462 0.3763
W1 0.5259 0.4173 0.1772
W2 0.5383 0.9128 0.1756
W3 0.9045 0.0317 0.5508
W4 0.9365 0.5231 0.5348
O1 0.0046 0.7791 0.4650
O2 0.2024 0.3185 0.5457
O3 0.2071 0.9223 0.5897
O4 0.2458 0.1163 0.1793
O5 0.2523 0.5170 0.1033
O6 0.4457 0.6603 0.2569
O7 0.4883 0.9842 0.9243
O8 0.5816 0.5904 0.9472
O9 0.5832 0.1894 0.4550
O10 0.6039 0.1586 0.1287
O11 0.6165 0.7768 0.4706
O12 0.8504 0.2601 0.2679
O13 0.8496 0.6570 0.2446
O14 0.8520 0.2987 0.5903
O15 0.8616 0.8477 0.7814
O16 0.9584 0.4613 0.7864
```

Principal peaks in the range 15 to 90 degrees two-theta, in order of rising 2θ:
2θ/deg	Rel. int.
25.4	60
26.3	52
27.1	35
27.6	100
28.8	90
29.2	95
30.8	65
31.5	57
32.1	46
45.2	34

(2)
# Cr3Fe3Te2O16
Computed powder diffractogram, Cu Kα (weighted mean of Kα1 and Kα2). Input: a structure optimized by DFT (PBE+U).
Kinematic intensities with the Lorentz-polarization factor, no thermal factor.

```
data_Cr3Fe3Te2O16
_cell_length_a 6.0214
_cell_length_b 6.0214
_cell_length_c 9.2071
_cell_angle_alpha 90.43
_cell_angle_beta 90.43
_cell_angle_gamma 60.06
_symmetry_space_group_name_H-M 'P 1'
_symmetry_Int_Tables_number 1
loop_
_symmetry_equiv_pos_as_xyz
'x,y,z'
loop_
_atom_site_label
_atom_site_fract_x
_atom_site_fract_y
_atom_site_fract_z
Cr1 0.0000 0.0000 0.0000
Cr2 0.1686 0.6601 0.4958
Cr3 0.6601 0.1686 0.4958
Fe1 0.4916 0.9993 0.9885
Fe2 0.6598 0.6598 0.4877
Fe3 0.9993 0.4916 0.9885
Te1 0.1601 0.1601 0.2726
Te2 0.4960 0.4960 0.7702
O1 0.9997 0.4796 0.3813
O2 0.0009 0.0009 0.3824
O3 0.1523 0.1523 0.8900
O4 0.1790 0.6534 0.8811
O5 0.2964 0.8710 0.1293
O6 0.3017 0.3017 0.1317
O7 0.3488 0.7834 0.6289
O8 0.3507 0.3507 0.6264
O9 0.4796 0.9997 0.3813
O10 0.4905 0.4905 0.3919
O11 0.6534 0.1790 0.8811
O12 0.6543 0.6543 0.8813
O13 0.7834 0.3488 0.6289
O14 0.8325 0.8325 0.5778
O15 0.8351 0.8351 0.0775
O16 0.8710 0.2964 0.1293
```

Principal peaks in the range 15 to 90 degrees two-theta, in order of rising 2θ:
2θ/deg	Rel. int.
19.5	100
19.6	21
25.7	22
25.9	16
33.8	18
34.0	18
35.5	16
35.6	16
35.8	46
61.6	34

(3)
# TiTlWO5F
Computed powder diffractogram, Cu Kα (weighted mean of Kα1 and Kα2). Input: a structure optimized by DFT (PBE+U).
Kinematic intensities with the Lorentz-polarization factor, no thermal factor.

```
data_TiTlWO5F
_cell_length_a 7.3364
_cell_length_b 7.3364
_cell_length_c 7.3364
_cell_angle_alpha 119.72
_cell_angle_beta 91.36
_cell_angle_gamma 118.72
_symmetry_space_group_name_H-M 'P 1'
_symmetry_Int_Tables_number 1
loop_
_symmetry_equiv_pos_as_xyz
'x,y,z'
loop_
_atom_site_label
_atom_site_fract_x
_atom_site_fract_y
_atom_site_fract_z
Ti1 0.2348 0.2500 0.4848
Ti2 0.7652 0.7500 0.5152
Tl1 0.0109 0.4070 0.1039
Tl2 0.3031 0.9070 0.8961
W1 0.7363 0.2363 0.5000
W2 0.7363 0.7363 0.0000
O1 0.0627 0.0046 0.1874
O2 0.0627 0.3753 0.5581
O3 0.4458 0.1396 0.4380
O4 0.4458 0.5078 0.8063
O5 0.6898 0.0061 0.1836
O6 0.7015 0.0078 0.5620
O7 0.7015 0.6396 0.1937
O8 0.8172 0.5046 0.4419
O9 0.8172 0.8753 0.8126
O10 0.8225 0.5061 0.8164
F1 0.0763 0.0077 0.5686
F2 0.4391 0.5077 0.4314
```

Principal peaks in the range 15 to 90 degrees two-theta, in order of rising 2θ:
2θ/deg	Rel. int.
23.8	37
24.3	49
28.1	38
28.4	100
28.7	79
29.6	21
29.9	39
45.0	22
49.7	33
58.2	31

(4)
# LaNiAsO
Computed powder diffractogram, Cu Kα (weighted mean of Kα1 and Kα2). Input: a structure optimized by DFT (PBE+U).
Kinematic intensities with the Lorentz-polarization factor, no thermal factor.

```
data_LaNiAsO
_cell_length_a 4.1750
_cell_length_b 4.1750
_cell_length_c 8.0431
_cell_angle_alpha 90.00
_cell_angle_beta 90.00
_cell_angle_gamma 90.00
_symmetry_space_group_name_H-M 'P 1'
_symmetry_Int_Tables_number 1
loop_
_symmetry_equiv_pos_as_xyz
'x,y,z'
loop_
_atom_site_label
_atom_site_fract_x
_atom_site_fract_y
_atom_site_fract_z
La1 0.2500 0.2500 0.1471
La2 0.7500 0.7500 0.8529
Ni1 0.2500 0.7500 0.5000
Ni2 0.7500 0.2500 0.5000
As1 0.2500 0.2500 0.6276
As2 0.7500 0.7500 0.3724
O1 0.2500 0.7500 0.0000
O2 0.7500 0.2500 0.0000
```

Principal peaks in the range 15 to 90 degrees two-theta, in order of rising 2θ:
2θ/deg	Rel. int.
24.0	12
30.3	21
30.9	100
32.3	12
37.8	20
43.3	39
54.2	40
55.3	32
63.0	12
88.6	16

- What is the formula in the third record?
  TiTlWO5F